No. 1
This entry pairs a crystal structure of Ca2Fe2Ni15 with its theoretical PXRD pattern. Radiation: Cu Kα X-rays. Structure: the PBE geometry in Alexandria.
No peak broadening, texture or thermal motion is included.

Structure:
```
Ca2Fe2Ni15
1.0
4.169 2.407 4.050
-4.169 2.407 4.050
0.000 -4.814 4.050
Ca Fe Ni
2 2 15
direct
0.155 0.155 0.155
0.845 0.845 0.845
0.405 0.405 0.405
0.595 0.595 0.595
0.000 0.500 0.500
0.158 0.158 0.649
0.158 0.649 0.158
0.207 0.500 0.793
0.207 0.793 0.500
0.351 0.842 0.842
0.500 0.000 0.500
0.500 0.207 0.793
0.500 0.500 0.000
0.500 0.793 0.207
0.649 0.158 0.158
0.793 0.207 0.500
0.793 0.500 0.207
0.842 0.351 0.842
0.842 0.842 0.351
```

Largest 8 diffraction maxima, in order of rising 2θ, 2θ from 5° to 70°:
2θ (°), I/Imax
14.27, 32
21.31, 31
37.36, 26
43.41, 61
43.75, 99
44.75, 40
49.15, 100
50.07, 32

---

No. 2
This entry pairs a crystal structure of CaFeSi3Ni with its theoretical PXRD pattern. Radiation: Cu Kα X-rays. Structure: the PBE geometry in Alexandria.
No peak broadening, texture or thermal motion is included.

Structure:
```
CaFeSi3Ni
1.0
3.008 -5.935 0.000
3.008 5.935 0.000
0.000 0.000 5.679
Ca Fe Si Ni
2 2 6 2
direct
0.243 0.757 0.750
0.757 0.243 0.250
0.031 0.969 0.250
0.969 0.031 0.750
0.206 0.794 0.250
0.294 0.294 0.000
0.294 0.294 0.500
0.706 0.706 0.000
0.706 0.706 0.500
0.794 0.206 0.750
0.386 0.614 0.250
0.614 0.386 0.750
```

Largest 8 diffraction maxima, in order of rising 2θ, 2θ from 5° to 70°:
2θ (°), I/Imax
14.93, 40
22.80, 30
29.70, 52
31.31, 100
31.51, 39
40.86, 25
43.84, 93
52.49, 37